# Zr2MnF11
Simulated powder diffractogram, Cu Kα, 1.54184 Å. Input: DFT lattice parameters and positions (GGA+U).
Lines closer than 0.1° are merged.

Cell and atoms:
Cell lengths 7.9593, 9.9770, 10.3424 Å; angles 90.00, 90.00, 90.00 degrees
Space group Ibam (No. 72)
One atom of each set of equivalent atoms:
Zr1 0.1051 0.1925 0.0000 x8
Mn1 0.0000 0.5000 0.2500 x4
F1 0.0000 0.0000 0.0000 x4
F2 0.0552 0.3696 0.1274 x16
F3 0.1574 0.2103 0.5000 x8
F4 0.2052 0.1159 0.1574 x16

Largest 10 diffraction maxima, low angle first, 5° ≤ 2θ ≤ 70°:
2theta, I_rel, index
17.15, 529, 0 0 2
22.35, 891, 1 1 2
22.73, 303, 1 2 1
24.80, 821, 0 2 2
25.59, 1000, 2 1 1
29.10, 212, 1 3 0
45.90, 331, 1 3 4
46.90, 319, 3 2 3
49.05, 196, 4 0 2
50.34, 282, 1 5 2